# HPd4Pt
Calculated powder X-ray diffraction pattern, Cu Kα. Input: a crystal structure in Alexandria, relaxed with PBE.
Neutral-atom scattering factors, no anomalous dispersion.

Cell and atoms:
```
6
Lattice="4.1858 0.0000 0.0000 0.0000 2.7459 0.0000 -2.0167 0.0000 7.0465" Properties=species:S:1:pos:R:3 pbc="T T T"
H 0.0000 0.0000 0.0000
Pd -0.9704 0.0000 4.9084
Pd 1.0633 1.3730 0.8241
Pd 1.1059 1.3730 6.2224
Pd 3.1396 0.0000 2.1382
Pt 1.0846 1.3730 3.5233
```

The 10 most intense peaks (2θ = 10–90°), in order of falling intensity:
2theta	d [Å]	Rel. int.
39.78	2.266	100.0
38.31	2.350	55.4
38.71	2.326	51.9
43.23	2.093	38.5
51.18	1.785	34.9
41.70	2.166	32.1
12.56	7.047	19.0
81.13	1.185	12.5
69.49	1.353	12.2
68.85	1.364	12.2